This entry pairs a crystal structure of HoEr2AlCd3Ga2 with its calculated XRD peak list. Radiation: a wavelength of 1.5418 Å. Structure: a structure optimized by DFT (GGA-PBE).
Neutral-atom scattering factors, no anomalous dispersion.

Cell and atoms:
```
data_HoEr2AlCd3Ga2
_chemical_formula_sum 'Ho2 Er4 Al2 Cd6 Ga4'
_space_group_name_H-M_alt 'A m m 2'
_space_group_IT_number 38
_cell_length_a 4.4104
_cell_length_b 12.5147
_cell_length_c 7.2179
_cell_angle_alpha 90.00
_cell_angle_beta 90.00
_cell_angle_gamma 90.00
loop_
_space_group_symop_operation_xyz
'x,y,z'
'-x,-y,z'
'-x,y,z'
'x,-y,z'
'x,y+1/2,z+1/2'
'-x,-y+1/2,z+1/2'
'-x,y+1/2,z+1/2'
'x,-y+1/2,z+1/2'
loop_
_atom_site_label
_atom_site_type_symbol
_atom_site_fract_x
_atom_site_fract_y
_atom_site_fract_z
Ho1 Ho 0.0000 0.0000 0.0000
Er1 Er 0.0000 0.2167 0.6499
Al1 Al 0.0000 0.0000 0.4338
Cd1 Cd 0.5000 0.0000 0.6800
Cd2 Cd 0.5000 0.1235 0.3099
Ga1 Ga 0.5000 0.1670 0.9332
```

Main lines, in order of rising 2θ (2θ from 10° to 90°):
d [Å], Rel. int., hkl
3.606, 22, 1 2 0
2.794, 97, 1 0 2
2.551, 100, 1 2 2
2.364, 59, 0 5 1
2.205, 31, 2 0 0
2.084, 14, 0 3 3
1.735, 15, 0 5 3
1.614, 53, 2 5 1
1.364, 26, 1 7 3
1.363, 16, 3 3 1